# 1
# Ca3ErPa2P6
Simulated powder diffractogram, copper Kα. Input: a cell relaxed with PBE.

Structure:
Unit cell a=7.019 b=7.019 c=7.030 alpha=99.57 beta=99.57 gamma=119.99
Positions (direct):
Ca 0.000 0.000 0.000
Ca 0.335 0.665 0.000
Ca 0.665 0.335 0.000
Er 0.500 0.500 0.500
Pa 0.167 0.833 0.500
Pa 0.833 0.167 0.500
P 0.084 0.423 0.270
P 0.237 0.237 0.731
P 0.423 0.084 0.270
P 0.577 0.916 0.730
P 0.763 0.763 0.269
P 0.916 0.577 0.730

Peak list (6 most intense, 2θ = 15–90°, in order of rising 2θ)
- 2θ 25.8, intensity 42
- 2θ 26.9, intensity 69
- 2θ 31.2, intensity 100
- 2θ 44.7, intensity 72
- 2θ 53.0, intensity 26
- 2θ 73.9, intensity 26

---

# 2
# Ca2ErP3Pt12
Simulated powder diffractogram, copper Kα. Input: a cell relaxed with PBE.

Structure:
Unit cell a=7.585 b=7.585 c=7.585 alpha=66.75 beta=66.75 gamma=66.75
Positions (direct):
Ca 0.096 0.096 0.096
Ca 0.904 0.904 0.904
Er 0.500 0.500 0.500
P 0.000 0.500 0.500
P 0.500 0.000 0.500
P 0.500 0.500 0.000
Pt 0.104 0.643 0.643
Pt 0.160 0.160 0.600
Pt 0.160 0.600 0.160
Pt 0.357 0.357 0.896
Pt 0.357 0.896 0.357
Pt 0.400 0.840 0.840
Pt 0.600 0.160 0.160
Pt 0.643 0.104 0.643
Pt 0.643 0.643 0.104
Pt 0.840 0.400 0.840
Pt 0.840 0.840 0.400
Pt 0.896 0.357 0.357

Peak list (6 most intense, 2θ = 15–90°, in order of rising 2θ)
- 2θ 23.7, intensity 30
- 2θ 32.1, intensity 100
- 2θ 34.4, intensity 33
- 2θ 38.8, intensity 29
- 2θ 43.4, intensity 66
- 2θ 48.5, intensity 39